No. 1
Simulated powder diffractogram
Compound: Al2O3
Radiation: λ = 1.5418 Å (Cu Kα)
Structure: a structure optimized by DFT (PBE)
Peak positions follow from Bragg's law for the DFT cell and can differ from measured ones.

Principal peaks in the range 10° ≤ 2θ ≤ 80°, by angle:
4.567 Å, I 35
2.423 Å, I 57
2.404 Å, I 56
2.397 Å, I 97
2.372 Å, I 39
2.000 Å, I 100
1.973 Å, I 48
1.419 Å, I 40
1.414 Å, I 74
1.404 Å, I 71

Cell and atoms:
```
data_Al2O3
_space_group_name_H-M_alt 'P 1'
_space_group_IT_number 1
_cell_length_a 5.6574
_cell_length_b 5.6574
_cell_length_c 12.4211
_cell_angle_alpha 102.39
_cell_angle_beta 102.39
_cell_angle_gamma 89.95
loop_
_space_group_symop_operation_xyz
'x,y,z'
loop_
_atom_site_label
_atom_site_fract_x
_atom_site_fract_y
_atom_site_fract_z
_atom_site_occupancy
Al1 0.0000 0.0000 0.0000 1
Al2 0.0000 0.0000 0.5000 1
Al3 0.1260 0.8740 0.7500 1
Al4 0.1690 0.6522 0.3401 1
Al5 0.1925 0.4633 0.9179 1
Al6 0.3228 0.3470 0.6581 1
Al7 0.3470 0.3228 0.1581 1
Al8 0.3478 0.8310 0.1599 1
Al9 0.4633 0.1925 0.4179 1
Al10 0.5367 0.8075 0.5821 1
Al11 0.6522 0.1690 0.8401 1
Al12 0.6530 0.6772 0.8419 1
Al13 0.6772 0.6530 0.3419 1
Al14 0.8075 0.5367 0.0821 1
Al15 0.8310 0.3478 0.6599 1
Al16 0.8740 0.1260 0.2500 1
O1 0.0790 0.1017 0.6636 1
O2 0.0857 0.5679 0.6765 1
O3 0.1017 0.0790 0.1636 1
O4 0.1143 0.5848 0.1751 1
O5 0.2319 0.2496 0.0046 1
O6 0.2333 0.7578 0.0052 1
O7 0.2422 0.7667 0.4948 1
O8 0.2496 0.2319 0.5046 1
O9 0.4152 0.8857 0.3249 1
O10 0.4179 0.4237 0.3309 1
O11 0.4237 0.4179 0.8309 1
O12 0.4321 0.9143 0.8235 1
O13 0.5679 0.0857 0.1765 1
O14 0.5763 0.5821 0.1691 1
O15 0.5821 0.5763 0.6691 1
O16 0.5848 0.1143 0.6751 1
O17 0.7504 0.7681 0.4954 1
O18 0.7578 0.2333 0.5052 1
O19 0.7667 0.2422 0.9948 1
O20 0.7681 0.7504 0.9954 1
O21 0.8857 0.4152 0.8249 1
O22 0.8983 0.9210 0.8364 1
O23 0.9143 0.4321 0.3235 1
O24 0.9210 0.8983 0.3364 1
```

=====

No. 2
Simulated powder diffractogram
Compound: Sm2ThS5
Radiation: λ = 1.5418 Å (Cu Kα)
Structure: a structure optimized by DFT (PBE)
Peak positions follow from Bragg's law for the DFT cell and can differ from measured ones.

Principal peaks in the range 10° ≤ 2θ ≤ 80°, by angle:
3.764 Å, I 46
3.533 Å, I 100
3.438 Å, I 82
3.376 Å, I 70
2.513 Å, I 69
2.418 Å, I 31
2.227 Å, I 22
2.041 Å, I 27
1.995 Å, I 47
1.767 Å, I 46

Cell and atoms:
```
data_Sm2ThS5
_space_group_name_H-M_alt 'P 1'
_space_group_IT_number 1
_cell_length_a 12.0026
_cell_length_b 8.1658
_cell_length_c 7.5271
_cell_angle_alpha 90.00
_cell_angle_beta 90.00
_cell_angle_gamma 90.00
loop_
_space_group_symop_operation_xyz
'x,y,z'
loop_
_atom_site_label
_atom_site_fract_x
_atom_site_fract_y
_atom_site_fract_z
_atom_site_occupancy
Sm1 0.1787 0.0007 0.0184 1
Sm2 0.1787 0.4993 0.0184 1
Sm3 0.3213 0.5007 0.5184 1
Sm4 0.3213 0.9993 0.5184 1
Sm5 0.6787 0.0007 0.4816 1
Sm6 0.6787 0.4993 0.4816 1
Sm7 0.8213 0.5007 0.9816 1
Sm8 0.8213 0.9993 0.9816 1
Th1 0.0095 0.7500 0.5761 1
Th2 0.4905 0.2500 0.0761 1
Th3 0.5095 0.7500 0.9239 1
Th4 0.9905 0.2500 0.4239 1
S1 0.9998 0.2500 0.0395 1
S2 0.0002 0.7500 0.9605 1
S3 0.1022 0.0436 0.6638 1
S4 0.1022 0.4564 0.6638 1
S5 0.1877 0.7500 0.3272 1
S6 0.2180 0.2500 0.2994 1
S7 0.2820 0.7500 0.7994 1
S8 0.3123 0.2500 0.8272 1
S9 0.3978 0.5436 0.1638 1
S10 0.3978 0.9564 0.1638 1
S11 0.4998 0.2500 0.4605 1
S12 0.5002 0.7500 0.5395 1
S13 0.6022 0.0436 0.8362 1
S14 0.6022 0.4564 0.8362 1
S15 0.6877 0.7500 0.1728 1
S16 0.7180 0.2500 0.2006 1
S17 0.7820 0.7500 0.7006 1
S18 0.8123 0.2500 0.6728 1
S19 0.8978 0.5436 0.3362 1
S20 0.8978 0.9564 0.3362 1
```